(1)
Simulated powder diffraction line list of Mg14FeSb for Cu Kα, 1.54184 Å, from a crystal structure in the Materials Project, relaxed with PBE.
Lines closer than 0.1° are merged.

Structure:
Lattice parameters (Å, degrees): 6.2747 6.2747 10.2563 90.00 90.00 120.00
Space group P-6m2 (No. 187)
Inequivalent atoms, fractional coordinates:
Mg: 0.0000 0.0000 0.2490 (multiplicity 2)
Mg: 0.0079 0.5040 0.2369 (multiplicity 6)
Mg: 0.3312 0.1656 0.0000 (multiplicity 3)
Mg: 0.3320 0.1660 0.5000 (multiplicity 3)
Fe: 0.3333 0.6667 0.0000 (multiplicity 1)
Sb: 0.3333 0.6667 0.5000 (multiplicity 1)

Largest 8 diffraction maxima, by angle, 2θ from 15° to 90°:
16.31 deg, I 32, hkl 1 0 0
23.86 deg, I 23, hkl 1 0 2
32.97 deg, I 28, hkl 2 0 0
34.99 deg, I 26, hkl 0 0 4
37.46 deg, I 100, hkl 2 0 2
48.84 deg, I 17, hkl 2 0 4
64.40 deg, I 21, hkl 2 0 6
70.36 deg, I 18, hkl 2 2 4

(2)
Simulated powder diffraction line list of LiThAu2 for Cu Kα, 1.54184 Å, from a crystal structure in the Materials Project, relaxed with PBE.
Lines closer than 0.1° are merged.

Structure:
Lattice parameters (Å, degrees): 7.085 7.085 7.085 90.00 90.00 90.00
Space group Fm-3m (No. 225)
Inequivalent atoms, fractional coordinates:
Li: 0.000 0.000 0.000 (multiplicity 4)
Th: 0.000 0.000 0.500 (multiplicity 4)
Au: 0.250 0.250 0.250 (multiplicity 8)

Largest 8 diffraction maxima, by angle, 2θ from 15° to 90°:
21.73 deg, I 28, hkl 1 1 1
25.14 deg, I 9, hkl 2 0 0
35.85 deg, I 100, hkl 2 2 0
42.31 deg, I 16, hkl 3 1 1
51.60 deg, I 18, hkl 4 0 0
64.42 deg, I 37, hkl 4 2 2
75.98 deg, I 12, hkl 4 4 0
86.97 deg, I 17, hkl 6 2 0

(3)
Simulated powder diffraction line list of Cs2YAgI6 for Cu Kα, 1.54184 Å, from a crystal structure in the Materials Project, relaxed with PBE.
Lines closer than 0.1° are merged.

Structure:
Lattice parameters (Å, degrees): 12.196 12.196 12.196 90.00 90.00 90.00
Space group Fm-3m (No. 225)
Inequivalent atoms, fractional coordinates:
Cs: 0.250 0.250 0.250 (multiplicity 8)
Y: 0.000 0.000 0.000 (multiplicity 4)
Ag: 0.000 0.000 0.500 (multiplicity 4)
I: 0.000 0.000 0.249 (multiplicity 24)

Largest 8 diffraction maxima, by angle, 2θ from 15° to 90°:
25.30 deg, I 86, hkl 2 2 2
29.29 deg, I 100, hkl 4 0 0
41.90 deg, I 74, hkl 4 4 0
49.58 deg, I 40, hkl 6 2 2
51.95 deg, I 26, hkl 4 4 4
66.88 deg, I 16, hkl 6 6 2
68.86 deg, I 33, hkl 8 4 0
76.54 deg, I 25, hkl 8 4 4

(4)
Simulated powder diffraction line list of Ta3Ru2 for Cu Kα, 1.54184 Å, from a crystal structure in the Materials Project, relaxed with PBE.
Lines closer than 0.1° are merged.

Structure:
Lattice parameters (Å, degrees): 3.223 3.223 15.914 90.00 90.00 90.00
Space group P4/mmm (No. 123)
Inequivalent atoms, fractional coordinates:
Ta: 0.000 0.000 0.000 (multiplicity 1)
Ta: 0.000 0.000 0.196 (multiplicity 2)
Ta: 0.000 0.000 0.397 (multiplicity 2)
Ta: 0.500 0.500 0.500 (multiplicity 1)
Ru: 0.500 0.500 0.099 (multiplicity 2)
Ru: 0.500 0.500 0.292 (multiplicity 2)

Largest 8 diffraction maxima, by angle, 2θ from 15° to 90°:
39.55 deg, I 52, hkl 1 1 0
39.81 deg, I 100, hkl 1 0 5
57.17 deg, I 18, hkl 2 0 0
57.95 deg, I 8, hkl 0 0 10
71.91 deg, I 35, hkl 2 1 5
72.44 deg, I 16, hkl 1 1 10
85.16 deg, I 6, hkl 2 2 0
85.82 deg, I 11, hkl 2 0 10